This entry pairs a crystal structure of Ba2NiIr with its calculated powder diffraction line list. Radiation: a wavelength of 1.5418 Å. Structure: a crystal structure in Alexandria, relaxed with GGA-PBE.
Intensities are scaled so that the largest is 100.

Main lines, low angle first (2θ from 5° to 70°):
2θ (°), intensity
10.23, 100.0
24.00, 13.1
27.49, 28.6
29.41, 45.1
34.03, 36.6
36.65, 19.9
41.76, 48.6
43.11, 18.7
51.90, 11.3
60.55, 23.5

Atomic structure:
```
data_Ba2NiIr
_symmetry_space_group_name_H-M 'R 3 m'
_symmetry_Int_Tables_number 160
_symmetry_space_group_name_Hall 'R 3 -2"'
_cell_length_a 4.3263
_cell_length_b 4.3263
_cell_length_c 25.9409
_cell_angle_alpha 90.00
_cell_angle_beta 90.00
_cell_angle_gamma 120.00
loop_
_atom_site_label
_atom_site_type_symbol
_atom_site_fract_x
_atom_site_fract_y
_atom_site_fract_z
Ba1 Ba 0.0000 0.0000 0.0000
Ba2 Ba 0.0000 0.0000 0.1594
Ni1 Ni 0.0000 0.0000 0.4130
Ir1 Ir 0.0000 0.0000 0.7464
```